(1)
Computed X-ray powder pattern
Compound: NbHg2HO
Radiation: CuKα
Structure: a cell relaxed with PBE

Top 12 peaks for 2θ = 10–90°, in order of falling intensity:
32.70°, intensity 100; 41.23°, intensity 94; 22.96°, intensity 71; 64.21°, intensity 52; 46.92°, intensity 37; 47.72°, intensity 28; 33.77°, intensity 18; 52.85°, intensity 17; 78.01°, intensity 16; 80.41°, intensity 15; 59.05°, intensity 15; 83.21°, intensity 13

Atomic structure:
```
NbHg2HO
1.0
5.478 0.000 0.000
0.000 5.478 0.000
0.000 0.000 2.654
Nb Hg H O
1 2 1 1
Cartesian
0.000 0.000 0.000
0.000 2.739 1.327
2.739 0.000 1.327
2.739 2.739 0.000
2.739 2.739 1.327
```

***

(2)
Computed X-ray powder pattern
Compound: Nd5Sn2N2
Radiation: CuKα
Structure: a cell relaxed with PBE

Top 12 peaks for 2θ = 10–90°, in order of falling intensity:
31.44°, intensity 100; 36.45°, intensity 56; 62.49°, intensity 34; 52.51°, intensity 34; 27.14°, intensity 25; 78.19°, intensity 13; 53.42°, intensity 12; 46.04°, intensity 12; 88.74°, intensity 11; 85.95°, intensity 11; 60.09°, intensity 10; 65.61°, intensity 10

Atomic structure:
```
Nd5Sn2N2
1.0
4.931 0.000 0.000
0.000 4.931 0.000
0.000 0.000 9.850
Nd Sn N
5 2 2
Cartesian
0.000 0.000 0.000
0.000 2.465 2.799
0.000 2.465 7.051
2.465 0.000 2.799
2.465 0.000 7.051
2.465 2.465 0.000
2.465 2.465 4.925
0.000 0.000 2.391
0.000 0.000 7.459
```

***

(3)
Computed X-ray powder pattern
Compound: La2PmPr4Dy2
Radiation: CuKα
Structure: a cell relaxed with PBE

Top 12 peaks for 2θ = 10–90°, in order of falling intensity:
30.91°, intensity 100; 32.55°, intensity 88; 30.23°, intensity 50; 27.97°, intensity 36; 58.80°, intensity 30; 49.15°, intensity 26; 53.05°, intensity 22; 56.23°, intensity 19; 28.58°, intensity 17; 58.69°, intensity 15; 38.98°, intensity 14; 49.04°, intensity 13

Atomic structure:
```
La2PmPr4Dy2
1.0
9.624 -1.858 0.000
9.624 1.858 0.000
-4.289 0.000 8.870
La Pm Pr Dy
2 1 4 2
Cartesian
1.073 0.000 4.415
13.886 0.000 4.455
7.480 0.000 4.435
-3.234 0.000 7.419
5.327 0.000 1.481
9.633 0.000 7.389
18.193 0.000 1.451
3.193 0.000 7.388
11.766 0.000 1.482
```

***

(4)
Computed X-ray powder pattern
Compound: PaMn6Ge6
Radiation: CuKα
Structure: a cell relaxed with PBE

Top 12 peaks for 2θ = 10–90°, in order of falling intensity:
41.39°, intensity 100; 34.79°, intensity 75; 41.27°, intensity 51; 40.28°, intensity 50; 79.49°, intensity 43; 42.60°, intensity 41; 34.65°, intensity 38; 44.29°, intensity 33; 34.39°, intensity 31; 14.69°, intensity 31; 37.27°, intensity 27; 73.44°, intensity 26

Atomic structure:
```
PaMn6Ge6
1.0
-2.589 4.090 4.461
2.589 -4.090 4.461
2.589 4.090 -4.461
Pa Mn Ge
1 6 6
Cartesian
0.000 0.000 0.000
1.295 2.045 -2.230
1.295 -2.045 2.230
2.589 2.033 0.000
-1.295 2.045 2.230
1.295 2.045 2.230
0.000 2.058 4.461
2.589 0.000 1.525
0.000 0.000 3.022
0.000 2.841 0.000
0.000 5.340 0.000
0.000 0.000 5.900
0.000 4.090 2.936
```